(1)
Starting from a DFT-relaxed cell (PBE, the Materials Project), the powder XRD pattern of Zn2PO5 was simulated for Cu Kα (λ = 1.5418 Å).
Intensities are scaled so that the largest is 100.

Crystal structure
```
data_Zn2PO5
_symmetry_space_group_name_H-M 'P 1'
_symmetry_Int_Tables_number 1
_cell_length_a 5.5993
_cell_length_b 5.7603
_cell_length_c 6.5626
_cell_angle_alpha 76.42
_cell_angle_beta 77.77
_cell_angle_gamma 87.18
loop_
_symmetry_equiv_pos_as_xyz
'x,y,z'
loop_
_atom_site_label
_atom_site_type_symbol
_atom_site_fract_x
_atom_site_fract_y
_atom_site_fract_z
Zn1 Zn 0.0329 0.2397 0.3102
Zn2 Zn 0.3875 0.7432 0.0087
Zn3 Zn 0.6125 0.2568 0.9913
Zn4 Zn 0.9671 0.7603 0.6898
P1 P 0.1653 0.2507 0.7727
P2 P 0.8347 0.7493 0.2273
O1 O 0.0316 0.7528 0.0153
O2 O 0.0613 0.1121 0.6320
O3 O 0.2196 0.5107 0.6515
O4 O 0.3588 0.3926 0.1886
O5 O 0.3973 0.1184 0.8361
O6 O 0.6027 0.8816 0.1639
O7 O 0.6412 0.6074 0.8114
O8 O 0.7804 0.4893 0.3485
O9 O 0.9387 0.8879 0.3680
O10 O 0.9684 0.2472 0.9847
```

Main lines, by intensity (5 to 70 degrees two-theta):
- 31.96°, I 100, hkl 0 2 0
- 23.73°, I 95, hkl 1 0 -1
- 30.65°, I 93, hkl 1 1 2
- 14.19°, I 93, hkl 0 0 1
- 36.56°, I 76, hkl 2 -1 0
- 26.72°, I 59, hkl -1 1 1
- 35.21°, I 53, hkl 2 1 1
- 29.89°, I 43, hkl 1 0 2
- 19.24°, I 40, hkl 1 0 1
- 16.20°, I 37, hkl 1 0 0

(2)
Starting from a DFT-relaxed cell (PBE, the Materials Project), the powder XRD pattern of Mg3Os was simulated for Cu Kα (λ = 1.5418 Å).
Intensities are scaled so that the largest is 100.

Crystal structure
```
data_Mg3Os
_symmetry_space_group_name_H-M 'P 1'
_symmetry_Int_Tables_number 1
_cell_length_a 5.9078
_cell_length_b 5.9078
_cell_length_c 4.6806
_cell_angle_alpha 90.00
_cell_angle_beta 90.00
_cell_angle_gamma 120.00
loop_
_symmetry_equiv_pos_as_xyz
'x,y,z'
loop_
_atom_site_label
_atom_site_type_symbol
_atom_site_fract_x
_atom_site_fract_y
_atom_site_fract_z
Mg1 Mg 0.1766 0.3532 0.2500
Mg2 Mg 0.1766 0.8234 0.2500
Mg3 Mg 0.3532 0.1766 0.7500
Mg4 Mg 0.6468 0.8234 0.2500
Mg5 Mg 0.8234 0.1766 0.7500
Mg6 Mg 0.8234 0.6468 0.7500
Os1 Os 0.3333 0.6667 0.7500
Os2 Os 0.6667 0.3333 0.2500
```

Main lines, by intensity (5 to 70 degrees two-theta):
- 25.80°, I 100, hkl 1 0 1
- 40.17°, I 89, hkl 2 0 1
- 17.33°, I 51, hkl 1 0 0
- 30.26°, I 48, hkl 1 1 0
- 51.11°, I 37, hkl 2 1 1
- 49.70°, I 25, hkl 1 1 2
- 38.47°, I 22, hkl 0 0 2
- 35.08°, I 21, hkl 2 0 0
- 62.93°, I 15, hkl 2 2 0
- 69.18°, I 14, hkl 3 1 1